(1)
Structure and calculated powder diffractogram of Tb9Ho3Th2 (a crystal structure in Alexandria, relaxed with PBE; Cu Kα (λ = 1.5418 Å)).
Intensities are scaled so that the largest is 100.

Top 10 peaks for 10 to 90 degrees two-theta, by angle:
2θ (°)	d_spacing	I/Imax
30.91	2.893	66
31.85	2.810	80
32.08	2.790	77
32.27	2.774	75
32.46	2.758	100
32.54	2.752	33
45.06	2.012	24
47.74	1.905	24
57.10	1.613	29
63.58	1.463	31

Cell and atoms:
```
data_Tb9Ho3Th2
_chemical_formula_sum 'Tb9 Ho3 Th2'
_space_group_name_H-M_alt 'P 1'
_space_group_IT_number 1
_cell_length_a 5.620
_cell_length_b 9.917
_cell_length_c 9.918
_cell_angle_alpha 62.77
_cell_angle_beta 73.82
_cell_angle_gamma 73.90
loop_
_space_group_symop_operation_xyz
'x,y,z'
loop_
_atom_site_label
_atom_site_type_symbol
_atom_site_fract_x
_atom_site_fract_y
_atom_site_fract_z
Tb1 Tb 0.000 0.000 0.000
Tb2 Tb 0.000 0.340 0.660
Tb3 Tb 0.405 0.931 0.263
Tb4 Tb 0.407 0.602 0.591
Tb5 Tb 0.601 0.055 0.715
Tb6 Tb 0.605 0.398 0.398
Tb7 Tb 0.606 0.738 0.058
Tb8 Tb 0.801 0.041 0.364
Tb9 Tb 0.804 0.704 0.701
Ho1 Ho 0.010 0.663 0.323
Ho2 Ho 0.407 0.264 0.924
Ho3 Ho 0.793 0.380 0.040
Th1 Th 0.214 0.283 0.296
Th2 Th 0.215 0.636 0.944
```

---

(2)
Structure and calculated powder diffractogram of Tb5Ho5Th2 (a crystal structure in Alexandria, relaxed with PBE; Cu Kα (λ = 1.5418 Å)).
Intensities are scaled so that the largest is 100.

Top 10 peaks for 10 to 90 degrees two-theta, by angle:
2θ (°)	d_spacing	I/Imax
30.84	2.900	100
35.66	2.518	34
35.95	2.498	17
51.32	1.780	12
51.53	1.773	24
61.07	1.517	25
61.46	1.509	14
64.22	1.450	9
84.08	1.151	9
87.09	1.119	6

Cell and atoms:
```
data_Tb5Ho5Th2
_chemical_formula_sum 'Tb5 Ho5 Th2'
_space_group_name_H-M_alt 'P 1'
_space_group_IT_number 1
_cell_length_a 6.138
_cell_length_b 7.957
_cell_length_c 8.701
_cell_angle_alpha 68.49
_cell_angle_beta 89.55
_cell_angle_gamma 74.98
loop_
_space_group_symop_operation_xyz
'x,y,z'
loop_
_atom_site_label
_atom_site_type_symbol
_atom_site_fract_x
_atom_site_fract_y
_atom_site_fract_z
Tb1 Tb 0.000 0.000 0.000
Tb2 Tb 0.089 0.246 0.582
Tb3 Tb 0.169 0.496 0.167
Tb4 Tb 0.831 0.504 0.833
Tb5 Tb 0.911 0.754 0.418
Ho1 Ho 0.253 0.753 0.746
Ho2 Ho 0.418 0.247 0.918
Ho3 Ho 0.500 0.500 0.500
Ho4 Ho 0.582 0.753 0.082
Ho5 Ho 0.747 0.247 0.254
Th1 Th 0.337 0.999 0.334
Th2 Th 0.663 0.001 0.666
```

---

(3)
Structure and calculated powder diffractogram of Tb12Ho2Th (a crystal structure in Alexandria, relaxed with PBE; Cu Kα (λ = 1.5418 Å)).
Intensities are scaled so that the largest is 100.

Top 10 peaks for 10 to 90 degrees two-theta, by angle:
2θ (°)	d_spacing	I/Imax
30.29	2.951	100
31.22	2.865	49
32.10	2.789	64
32.29	2.773	36
32.52	2.753	51
33.53	2.673	38
46.17	1.966	27
56.10	1.640	18
60.82	1.523	19
61.90	1.499	20

Cell and atoms:
```
data_Tb12Ho2Th
_chemical_formula_sum 'Tb24 Ho4 Th2'
_space_group_name_H-M_alt 'P 1'
_space_group_IT_number 1
_cell_length_a 6.614
_cell_length_b 6.614
_cell_length_c 24.427
_cell_angle_alpha 92.22
_cell_angle_beta 92.22
_cell_angle_gamma 114.97
loop_
_space_group_symop_operation_xyz
'x,y,z'
loop_
_atom_site_label
_atom_site_type_symbol
_atom_site_fract_x
_atom_site_fract_y
_atom_site_fract_z
Tb1 Tb 0.050 0.551 0.202
Tb2 Tb 0.082 0.585 0.330
Tb3 Tb 0.134 0.640 0.556
Tb4 Tb 0.145 0.145 0.573
Tb5 Tb 0.215 0.215 0.863
Tb6 Tb 0.232 0.732 0.928
Tb7 Tb 0.268 0.768 0.072
Tb8 Tb 0.285 0.285 0.137
Tb9 Tb 0.360 0.866 0.444
Tb10 Tb 0.361 0.361 0.423
Tb11 Tb 0.415 0.918 0.670
Tb12 Tb 0.449 0.950 0.798
Tb13 Tb 0.551 0.050 0.202
Tb14 Tb 0.585 0.082 0.330
Tb15 Tb 0.639 0.639 0.577
Tb16 Tb 0.640 0.134 0.556
Tb17 Tb 0.715 0.715 0.863
Tb18 Tb 0.732 0.232 0.928
Tb19 Tb 0.768 0.268 0.072
Tb20 Tb 0.785 0.785 0.137
Tb21 Tb 0.855 0.855 0.427
Tb22 Tb 0.866 0.360 0.444
Tb23 Tb 0.918 0.415 0.670
Tb24 Tb 0.950 0.449 0.798
Ho1 Ho 0.070 0.070 0.272
Ho2 Ho 0.433 0.433 0.729
Ho3 Ho 0.567 0.567 0.271
Ho4 Ho 0.930 0.930 0.728
Th1 Th 0.250 0.250 0.000
Th2 Th 0.750 0.750 0.000
```

---

(4)
Structure and calculated powder diffractogram of Tb4Ho6Th (a crystal structure in Alexandria, relaxed with PBE; Cu Kα (λ = 1.5418 Å)).
Intensities are scaled so that the largest is 100.

Top 10 peaks for 10 to 90 degrees two-theta, by angle:
2θ (°)	d_spacing	I/Imax
13.62	6.503	29
27.16	3.284	100
32.18	2.782	82
33.35	2.687	57
33.50	2.675	31
36.14	2.486	35
36.37	2.470	25
47.02	1.933	22
55.93	1.644	34
62.10	1.495	21

Cell and atoms:
```
data_Tb4Ho6Th
_chemical_formula_sum 'Tb4 Ho6 Th1'
_space_group_name_H-M_alt 'P 1'
_space_group_IT_number 1
_cell_length_a 8.436
_cell_length_b 8.436
_cell_length_c 8.436
_cell_angle_alpha 126.46
_cell_angle_beta 126.46
_cell_angle_gamma 79.13
loop_
_space_group_symop_operation_xyz
'x,y,z'
loop_
_atom_site_label
_atom_site_type_symbol
_atom_site_fract_x
_atom_site_fract_y
_atom_site_fract_z
Tb1 Tb 0.253 0.253 0.656
Tb2 Tb 0.403 0.747 0.000
Tb3 Tb 0.597 0.597 0.344
Tb4 Tb 0.747 0.403 0.000
Ho1 Ho 0.000 0.500 0.500
Ho2 Ho 0.059 0.575 0.000
Ho3 Ho 0.425 0.425 0.484
Ho4 Ho 0.500 0.000 0.500
Ho5 Ho 0.575 0.059 0.000
Ho6 Ho 0.941 0.941 0.516
Th1 Th 0.000 0.000 0.000
```

---

(5)
Structure and calculated powder diffractogram of TbHo3Th (a crystal structure in Alexandria, relaxed with PBE; Cu Kα (λ = 1.5418 Å)).
Intensities are scaled so that the largest is 100.

Top 10 peaks for 10 to 90 degrees two-theta, by angle:
2θ (°)	d_spacing	I/Imax
28.62	3.118	35
31.49	2.841	37
32.73	2.736	100
32.81	2.730	50
43.01	2.103	12
43.13	2.097	12
50.71	1.800	29
56.91	1.618	16
60.92	1.521	11
61.73	1.503	16

Cell and atoms:
```
data_TbHo3Th
_chemical_formula_sum 'Tb2 Ho6 Th2'
_space_group_name_H-M_alt 'P 1'
_space_group_IT_number 1
_cell_length_a 6.242
_cell_length_b 6.717
_cell_length_c 8.437
_cell_angle_alpha 103.08
_cell_angle_beta 111.56
_cell_angle_gamma 90.17
loop_
_space_group_symop_operation_xyz
'x,y,z'
loop_
_atom_site_label
_atom_site_type_symbol
_atom_site_fract_x
_atom_site_fract_y
_atom_site_fract_z
Tb1 Tb 0.217 0.345 0.100
Tb2 Tb 0.783 0.655 0.900
Ho1 Ho 0.021 0.945 0.698
Ho2 Ho 0.385 0.842 0.097
Ho3 Ho 0.410 0.748 0.498
Ho4 Ho 0.590 0.252 0.502
Ho5 Ho 0.615 0.158 0.903
Ho6 Ho 0.979 0.055 0.302
Th1 Th 0.176 0.446 0.696
Th2 Th 0.824 0.554 0.304
```

---

(6)
Structure and calculated powder diffractogram of Tb8Ho4Th (a crystal structure in Alexandria, relaxed with PBE; Cu Kα (λ = 1.5418 Å)).
Intensities are scaled so that the largest is 100.

Top 10 peaks for 10 to 90 degrees two-theta, by angle:
2θ (°)	d_spacing	I/Imax
28.41	3.141	12
29.19	3.060	23
31.13	2.873	100
32.66	2.742	31
38.67	2.329	33
49.96	1.825	29
51.96	1.760	13
58.91	1.568	16
60.05	1.541	14
60.99	1.519	11

Cell and atoms:
```
data_Tb8Ho4Th
_chemical_formula_sum 'Tb8 Ho4 Th1'
_space_group_name_H-M_alt 'P 1'
_space_group_IT_number 1
_cell_length_a 7.302
_cell_length_b 7.302
_cell_length_c 10.100
_cell_angle_alpha 111.18
_cell_angle_beta 111.18
_cell_angle_gamma 60.00
loop_
_space_group_symop_operation_xyz
'x,y,z'
loop_
_atom_site_label
_atom_site_type_symbol
_atom_site_fract_x
_atom_site_fract_y
_atom_site_fract_z
Tb1 Tb 0.024 0.470 0.297
Tb2 Tb 0.025 0.025 0.297
Tb3 Tb 0.530 0.420 0.703
Tb4 Tb 0.530 0.976 0.703
Tb5 Tb 0.561 0.006 0.351
Tb6 Tb 0.580 0.470 0.297
Tb7 Tb 0.975 0.975 0.703
Tb8 Tb 0.994 0.439 0.649
Ho1 Ho 0.278 0.222 0.000
Ho2 Ho 0.278 0.722 0.000
Ho3 Ho 0.778 0.222 0.000
Ho4 Ho 0.778 0.722 0.000
Th1 Th 0.278 0.722 0.500
```

---

(7)
Structure and calculated powder diffractogram of TbHo5Th5 (a crystal structure in Alexandria, relaxed with PBE; Cu Kα (λ = 1.5418 Å)).
Intensities are scaled so that the largest is 100.

Top 10 peaks for 10 to 90 degrees two-theta, by angle:
2θ (°)	d_spacing	I/Imax
28.35	3.148	92
29.10	3.069	100
32.68	2.740	46
33.85	2.648	50
36.23	2.480	30
36.70	2.449	51
37.46	2.401	31
50.66	1.802	37
53.05	1.726	30
58.65	1.574	37

Cell and atoms:
```
data_TbHo5Th5
_chemical_formula_sum 'Tb1 Ho5 Th5'
_space_group_name_H-M_alt 'P 1'
_space_group_IT_number 1
_cell_length_a 6.296
_cell_length_b 6.296
_cell_length_c 11.137
_cell_angle_alpha 90.00
_cell_angle_beta 90.00
_cell_angle_gamma 120.00
loop_
_space_group_symop_operation_xyz
'x,y,z'
loop_
_atom_site_label
_atom_site_type_symbol
_atom_site_fract_x
_atom_site_fract_y
_atom_site_fract_z
Tb1 Tb 0.000 0.000 0.000
Ho1 Ho 0.000 0.000 0.328
Ho2 Ho 0.000 0.000 0.672
Ho3 Ho 0.333 0.667 0.181
Ho4 Ho 0.333 0.667 0.819
Ho5 Ho 0.667 0.333 0.000
Th1 Th 0.013 0.507 0.500
Th2 Th 0.493 0.507 0.500
Th3 Th 0.493 0.987 0.500
Th4 Th 0.667 0.333 0.269
Th5 Th 0.667 0.333 0.731
```

---

(8)
Structure and calculated powder diffractogram of TbHo5Th (a crystal structure in Alexandria, relaxed with PBE; Cu Kα (λ = 1.5418 Å)).
Intensities are scaled so that the largest is 100.

Top 10 peaks for 10 to 90 degrees two-theta, by angle:
2θ (°)	d_spacing	I/Imax
23.75	3.746	18
27.84	3.204	16
30.67	2.915	46
31.33	2.856	36
31.64	2.828	21
32.34	2.768	100
32.74	2.735	38
34.71	2.585	23
36.14	2.486	27
55.60	1.653	18

Cell and atoms:
```
data_TbHo5Th
_chemical_formula_sum 'Tb2 Ho10 Th2'
_space_group_name_H-M_alt 'P 1'
_space_group_IT_number 1
_cell_length_a 9.265
_cell_length_b 9.265
_cell_length_c 8.599
_cell_angle_alpha 93.93
_cell_angle_beta 93.93
_cell_angle_gamma 141.49
loop_
_space_group_symop_operation_xyz
'x,y,z'
loop_
_atom_site_label
_atom_site_type_symbol
_atom_site_fract_x
_atom_site_fract_y
_atom_site_fract_z
Tb1 Tb 0.013 0.987 0.750
Tb2 Tb 0.987 0.013 0.250
Ho1 Ho 0.040 0.727 0.039
Ho2 Ho 0.112 0.485 0.354
Ho3 Ho 0.273 0.960 0.461
Ho4 Ho 0.352 0.648 0.750
Ho5 Ho 0.485 0.112 0.854
Ho6 Ho 0.515 0.888 0.146
Ho7 Ho 0.648 0.352 0.250
Ho8 Ho 0.727 0.040 0.539
Ho9 Ho 0.888 0.515 0.646
Ho10 Ho 0.960 0.273 0.961
Th1 Th 0.500 0.500 0.000
Th2 Th 0.500 0.500 0.500
```